Entry 1:
NaEuDySeO6: theoretical XRD peak list (Cu Ka), based on a structure optimized by DFT (PBE).
Neutral-atom scattering factors, no anomalous dispersion.

Atomic structure:
```
data_NaEuDySeO6
_chemical_formula_sum 'Na1 Eu1 Dy1 Se1 O6'
_space_group_name_H-M_alt 'P 1'
_space_group_IT_number 1
_cell_length_a 5.6978
_cell_length_b 5.6978
_cell_length_c 5.6978
_cell_angle_alpha 60.00
_cell_angle_beta 60.00
_cell_angle_gamma 60.00
loop_
_space_group_symop_operation_xyz
'x,y,z'
loop_
_atom_site_label
_atom_site_fract_x
_atom_site_fract_y
_atom_site_fract_z
Na1 0.0000 0.0000 0.0000
Eu1 0.5000 0.5000 0.5000
Dy1 0.7500 0.7500 0.7500
Se1 0.2500 0.2500 0.2500
O1 0.0224 0.0224 0.4776
O2 0.0224 0.4776 0.0224
O3 0.0224 0.4776 0.4776
O4 0.4776 0.0224 0.0224
O5 0.4776 0.0224 0.4776
O6 0.4776 0.4776 0.0224
```

Top 11 peaks for 2θ = 5–70°, low angle first:
| Position (°2θ) | d (Å) | I_rel |
| --- | --- | --- |
| 19.08 | 4.652 | 30 |
| 22.06 | 4.029 | 8 |
| 31.40 | 2.849 | 100 |
| 37.00 | 2.430 | 21 |
| 45.00 | 2.014 | 32 |
| 49.29 | 1.849 | 10 |
| 50.66 | 1.802 | 3 |
| 55.90 | 1.645 | 39 |
| 59.62 | 1.551 | 6 |
| 65.53 | 1.424 | 19 |
| 68.94 | 1.362 | 6 |

***

Entry 2:
TaVPd3: theoretical XRD peak list (Cu Ka), based on a structure optimized by DFT (PBE).
Neutral-atom scattering factors, no anomalous dispersion.

Atomic structure:
```
data_TaVPd3
_chemical_formula_sum 'Ta2 V2 Pd6'
_space_group_name_H-M_alt 'P 1'
_space_group_IT_number 1
_cell_length_a 5.2992
_cell_length_b 5.2992
_cell_length_c 6.8824
_cell_angle_alpha 97.16
_cell_angle_beta 97.16
_cell_angle_gamma 120.48
loop_
_space_group_symop_operation_xyz
'x,y,z'
loop_
_atom_site_label
_atom_site_fract_x
_atom_site_fract_y
_atom_site_fract_z
Ta1 0.0781 0.0781 0.1977
Ta2 0.9219 0.9219 0.8023
V1 0.3699 0.6301 0.0000
V2 0.6301 0.3699 0.0000
Pd1 0.1080 0.5921 0.3113
Pd2 0.3424 0.3424 0.6298
Pd3 0.4079 0.8920 0.6887
Pd4 0.5921 0.1080 0.3113
Pd5 0.6576 0.6576 0.3702
Pd6 0.8920 0.4079 0.6887
```

Top 12 peaks for 2θ = 5–70°, low angle first:
| Position (°2θ) | d (Å) | I_rel |
| --- | --- | --- |
| 26.76 | 3.331 | 48 |
| 34.13 | 2.627 | 19 |
| 37.08 | 2.424 | 52 |
| 39.16 | 2.300 | 55 |
| 39.75 | 2.268 | 100 |
| 41.25 | 2.189 | 50 |
| 43.64 | 2.074 | 31 |
| 45.35 | 2.000 | 26 |
| 45.70 | 1.985 | 48 |
| 46.73 | 1.944 | 22 |
| 48.07 | 1.893 | 37 |
| 65.50 | 1.425 | 16 |

***

Entry 3:
Nd3Dy4Hg4: theoretical XRD peak list (Cu Ka), based on a structure optimized by DFT (PBE).
Neutral-atom scattering factors, no anomalous dispersion.

Atomic structure:
```
data_Nd3Dy4Hg4
_chemical_formula_sum 'Nd3 Dy4 Hg4'
_space_group_name_H-M_alt 'P 1'
_space_group_IT_number 1
_cell_length_a 9.5058
_cell_length_b 9.5058
_cell_length_c 9.5058
_cell_angle_alpha 149.87
_cell_angle_beta 130.30
_cell_angle_gamma 59.22
loop_
_space_group_symop_operation_xyz
'x,y,z'
loop_
_atom_site_label
_atom_site_fract_x
_atom_site_fract_y
_atom_site_fract_z
Nd1 0.0000 0.0000 0.0000
Nd2 0.3895 0.8895 0.5000
Nd3 0.6105 0.1105 0.5000
Dy1 0.0381 0.3265 0.7116
Dy2 0.3850 0.6735 0.7116
Dy3 0.6150 0.3265 0.2884
Dy4 0.9619 0.6735 0.2884
Hg1 0.2124 0.2124 0.0000
Hg2 0.3068 0.5000 0.8068
Hg3 0.6932 0.5000 0.1932
Hg4 0.7876 0.7876 0.0000
```

Top 12 peaks for 2θ = 5–70°, low angle first:
| Position (°2θ) | d (Å) | I_rel |
| --- | --- | --- |
| 29.25 | 3.053 | 100 |
| 30.34 | 2.946 | 48 |
| 32.54 | 2.752 | 23 |
| 33.11 | 2.706 | 15 |
| 36.36 | 2.471 | 37 |
| 37.51 | 2.398 | 12 |
| 39.80 | 2.265 | 45 |
| 39.98 | 2.255 | 24 |
| 47.32 | 1.921 | 11 |
| 53.23 | 1.721 | 16 |
| 54.97 | 1.670 | 13 |
| 65.41 | 1.427 | 12 |

***

Entry 4:
BaHfSe3: theoretical XRD peak list (Cu Ka), based on a structure optimized by DFT (PBE).
Neutral-atom scattering factors, no anomalous dispersion.

Atomic structure:
```
data_BaHfSe3
_chemical_formula_sum 'Ba2 Hf2 Se6'
_space_group_name_H-M_alt 'P 1'
_space_group_IT_number 1
_cell_length_a 5.2204
_cell_length_b 5.2709
_cell_length_c 11.2404
_cell_angle_alpha 90.00
_cell_angle_beta 103.36
_cell_angle_gamma 90.00
loop_
_space_group_symop_operation_xyz
'x,y,z'
loop_
_atom_site_label
_atom_site_fract_x
_atom_site_fract_y
_atom_site_fract_z
Ba1 0.1582 0.2500 0.3193
Ba2 0.8418 0.7500 0.6807
Hf1 0.4280 0.2500 0.8539
Hf2 0.5720 0.7500 0.1461
Se1 0.0646 0.7500 0.1306
Se2 0.3111 0.2500 0.6202
Se3 0.4426 0.7500 0.8837
Se4 0.5574 0.2500 0.1163
Se5 0.6889 0.7500 0.3798
Se6 0.9354 0.2500 0.8694
```

Top 12 peaks for 2θ = 5–70°, low angle first:
| Position (°2θ) | d (Å) | I_rel |
| --- | --- | --- |
| 8.08 | 10.936 | 76 |
| 17.47 | 5.078 | 35 |
| 23.44 | 3.795 | 45 |
| 24.34 | 3.656 | 100 |
| 31.63 | 2.829 | 33 |
| 32.76 | 2.734 | 45 |
| 33.42 | 2.681 | 46 |
| 34.02 | 2.635 | 73 |
| 34.36 | 2.610 | 71 |
| 48.43 | 1.879 | 33 |
| 49.13 | 1.855 | 51 |
| 60.30 | 1.535 | 31 |

***

Entry 5:
Pa4OsPt3: theoretical XRD peak list (Cu Ka), based on a structure optimized by DFT (PBE).
Neutral-atom scattering factors, no anomalous dispersion.

Atomic structure:
```
data_Pa4OsPt3
_chemical_formula_sum 'Pa4 Os1 Pt3'
_space_group_name_H-M_alt 'P 1'
_space_group_IT_number 1
_cell_length_a 3.7866
_cell_length_b 4.3022
_cell_length_c 10.9670
_cell_angle_alpha 90.00
_cell_angle_beta 90.00
_cell_angle_gamma 90.00
loop_
_space_group_symop_operation_xyz
'x,y,z'
loop_
_atom_site_label
_atom_site_fract_x
_atom_site_fract_y
_atom_site_fract_z
Pa1 0.0000 0.0000 0.0000
Pa2 0.0000 0.5000 0.2725
Pa3 0.5000 0.0000 0.4860
Pa4 0.5000 0.5000 0.7722
Os1 0.5000 0.0000 0.2325
Pt1 0.0000 0.0000 0.7308
Pt2 0.0000 0.5000 0.5425
Pt3 0.5000 0.5000 0.0364
```

Top 12 peaks for 2θ = 5–70°, low angle first:
| Position (°2θ) | d (Å) | I_rel |
| --- | --- | --- |
| 32.54 | 2.752 | 100 |
| 32.66 | 2.742 | 38 |
| 34.09 | 2.630 | 13 |
| 38.95 | 2.312 | 17 |
| 40.19 | 2.244 | 62 |
| 42.00 | 2.151 | 28 |
| 48.06 | 1.893 | 19 |
| 52.71 | 1.737 | 12 |
| 54.20 | 1.692 | 19 |
| 59.32 | 1.558 | 14 |
| 64.35 | 1.448 | 9 |
| 65.70 | 1.421 | 15 |

***

Entry 6:
HgPd4Au3: theoretical XRD peak list (Cu Ka), based on a structure optimized by DFT (PBE).
Neutral-atom scattering factors, no anomalous dispersion.

Atomic structure:
```
data_HgPd4Au3
_chemical_formula_sum 'Hg2 Pd8 Au6'
_space_group_name_H-M_alt 'P 1'
_space_group_IT_number 1
_cell_length_a 5.5318
_cell_length_b 9.4710
_cell_length_c 5.4208
_cell_angle_alpha 90.00
_cell_angle_beta 90.00
_cell_angle_gamma 90.00
loop_
_space_group_symop_operation_xyz
'x,y,z'
loop_
_atom_site_label
_atom_site_fract_x
_atom_site_fract_y
_atom_site_fract_z
Hg1 0.0000 0.0000 0.0000
Hg2 0.5000 0.5000 0.5000
Pd1 0.0000 0.2532 0.2310
Pd2 0.0000 0.7468 0.2310
Pd3 0.2486 0.5000 0.9863
Pd4 0.2514 0.0000 0.4863
Pd5 0.5000 0.2468 0.7310
Pd6 0.5000 0.7532 0.7310
Pd7 0.7486 0.0000 0.4863
Pd8 0.7514 0.5000 0.9863
Au1 0.0000 0.2505 0.7312
Au2 0.0000 0.5000 0.4762
Au3 0.0000 0.7495 0.7312
Au4 0.5000 0.0000 0.9762
Au5 0.5000 0.2495 0.2312
Au6 0.5000 0.7505 0.2312
```

Top 12 peaks for 2θ = 5–70°, low angle first:
| Position (°2θ) | d (Å) | I_rel |
| --- | --- | --- |
| 18.86 | 4.705 | 11 |
| 29.81 | 2.997 | 11 |
| 32.37 | 2.766 | 33 |
| 37.71 | 2.385 | 65 |
| 38.00 | 2.368 | 51 |
| 38.26 | 2.352 | 100 |
| 46.77 | 1.942 | 28 |
| 50.76 | 1.799 | 19 |
| 50.96 | 1.792 | 37 |
| 61.78 | 1.502 | 12 |
| 62.14 | 1.494 | 12 |
| 68.83 | 1.364 | 26 |

***

Entry 7:
K2ErRuO6: theoretical XRD peak list (Cu Ka), based on a structure optimized by DFT (PBE).
Neutral-atom scattering factors, no anomalous dispersion.

Atomic structure:
```
data_K2ErRuO6
_chemical_formula_sum 'K2 Er1 Ru1 O6'
_space_group_name_H-M_alt 'P 1'
_space_group_IT_number 1
_cell_length_a 6.1872
_cell_length_b 6.1872
_cell_length_c 5.6886
_cell_angle_alpha 90.00
_cell_angle_beta 90.00
_cell_angle_gamma 120.00
loop_
_space_group_symop_operation_xyz
'x,y,z'
loop_
_atom_site_label
_atom_site_fract_x
_atom_site_fract_y
_atom_site_fract_z
K1 0.3333 0.6667 0.1129
K2 0.6667 0.3333 0.8871
Er1 0.0000 0.0000 0.5000
Ru1 0.0000 0.0000 0.0000
O1 0.1415 0.2830 0.7921
O2 0.1415 0.8585 0.7921
O3 0.2830 0.1415 0.2079
O4 0.7170 0.8585 0.7921
O5 0.8585 0.1415 0.2079
O6 0.8585 0.7170 0.2079
```

Top 12 peaks for 2θ = 5–70°, low angle first:
| Position (°2θ) | d (Å) | I_rel |
| --- | --- | --- |
| 16.54 | 5.358 | 100 |
| 22.80 | 3.900 | 10 |
| 28.86 | 3.094 | 39 |
| 33.45 | 2.679 | 8 |
| 35.74 | 2.512 | 24 |
| 37.09 | 2.424 | 10 |
| 43.21 | 2.094 | 22 |
| 44.75 | 2.025 | 10 |
| 46.57 | 1.950 | 20 |
| 51.13 | 1.786 | 9 |
| 55.72 | 1.650 | 18 |
| 61.28 | 1.513 | 8 |

***

Entry 8:
Ti3Ga2Pd3: theoretical XRD peak list (Cu Ka), based on a structure optimized by DFT (PBE).
Neutral-atom scattering factors, no anomalous dispersion.

Atomic structure:
```
data_Ti3Ga2Pd3
_chemical_formula_sum 'Ti6 Ga4 Pd6'
_space_group_name_H-M_alt 'P 1'
_space_group_IT_number 1
_cell_length_a 14.8492
_cell_length_b 4.1878
_cell_length_c 4.1380
_cell_angle_alpha 90.00
_cell_angle_beta 106.12
_cell_angle_gamma 90.00
loop_
_space_group_symop_operation_xyz
'x,y,z'
loop_
_atom_site_label
_atom_site_fract_x
_atom_site_fract_y
_atom_site_fract_z
Ti1 0.0000 0.0000 0.0000
Ti2 0.1205 0.0000 0.6216
Ti3 0.3795 0.5000 0.3784
Ti4 0.5000 0.5000 0.0000
Ti5 0.6205 0.5000 0.6216
Ti6 0.8795 0.0000 0.3784
Ga1 0.2473 0.0000 0.2484
Ga2 0.2527 0.5000 0.7516
Ga3 0.7473 0.5000 0.2484
Ga4 0.7527 0.0000 0.7516
Pd1 0.0000 0.5000 0.5000
Pd2 0.1367 0.5000 0.1358
Pd3 0.3633 0.0000 0.8642
Pd4 0.5000 0.0000 0.5000
Pd5 0.6367 0.0000 0.1358
Pd6 0.8633 0.5000 0.8642
```

Top 12 peaks for 2θ = 5–70°, low angle first:
| Position (°2θ) | d (Å) | I_rel |
| --- | --- | --- |
| 22.12 | 4.018 | 11 |
| 28.60 | 3.122 | 12 |
| 39.70 | 2.270 | 100 |
| 43.21 | 2.094 | 20 |
| 43.75 | 2.069 | 19 |
| 49.56 | 1.839 | 3 |
| 49.76 | 1.832 | 4 |
| 51.23 | 1.783 | 10 |
| 52.63 | 1.739 | 5 |
| 63.18 | 1.472 | 12 |
| 69.20 | 1.358 | 8 |
| 69.60 | 1.351 | 8 |

***

Entry 9:
Cu3PtO6: theoretical XRD peak list (Cu Ka), based on a structure optimized by DFT (PBE).
Neutral-atom scattering factors, no anomalous dispersion.

Atomic structure:
```
data_Cu3PtO6
_chemical_formula_sum 'Cu3 Pt1 O6'
_space_group_name_H-M_alt 'P 1'
_space_group_IT_number 1
_cell_length_a 5.4510
_cell_length_b 5.4510
_cell_length_c 5.4510
_cell_angle_alpha 55.96
_cell_angle_beta 55.96
_cell_angle_gamma 55.96
loop_
_space_group_symop_operation_xyz
'x,y,z'
loop_
_atom_site_label
_atom_site_fract_x
_atom_site_fract_y
_atom_site_fract_z
Cu1 0.0000 0.0000 0.0000
Cu2 0.2019 0.2019 0.2019
Cu3 0.7108 0.7108 0.7108
Pt1 0.5111 0.5111 0.5111
O1 0.1088 0.4130 0.8009
O2 0.3061 0.9161 0.5965
O3 0.4130 0.8009 0.1088
O4 0.5965 0.3061 0.9161
O5 0.8009 0.1088 0.4130
O6 0.9161 0.5965 0.3061
```

Top 12 peaks for 2θ = 5–70°, low angle first:
| Position (°2θ) | d (Å) | I_rel |
| --- | --- | --- |
| 19.37 | 4.582 | 20 |
| 21.07 | 4.216 | 41 |
| 23.90 | 3.723 | 69 |
| 32.99 | 2.715 | 94 |
| 35.09 | 2.557 | 100 |
| 40.39 | 2.233 | 26 |
| 42.90 | 2.108 | 12 |
| 48.93 | 1.862 | 36 |
| 53.72 | 1.706 | 65 |
| 56.58 | 1.627 | 12 |
| 61.62 | 1.505 | 33 |
| 62.95 | 1.477 | 32 |